For Ta2Ni17, a cell relaxed with PBE gives the computed XRD peak list in this record (Cu Kα (weighted mean of Kα1 and Kα2)).
Neutral-atom scattering factors, no anomalous dispersion.

Atomic structure:
```
data_Ta2Ni17
_chemical_formula_sum 'Ta6 Ni51'
_cell_length_a 8.0292
_cell_length_b 8.0292
_cell_length_c 12.0205
_cell_angle_alpha 90.00
_cell_angle_beta 90.00
_cell_angle_gamma 120.00
_space_group_name_H-M_alt 'R -3 m'
_space_group_IT_number 166
_space_group_name_Hall '-R 3 2"'
loop_
_atom_site_label
_atom_site_type_symbol
_atom_site_fract_x
_atom_site_fract_y
_atom_site_fract_z
Ta1 Ta 0.0000 0.0000 0.1793
Ni1 Ni 0.0000 0.0000 0.3983
Ni2 Ni 0.0000 0.3113 0.5000
Ni3 Ni 0.0000 0.5000 0.0000
Ni4 Ni 0.0072 0.5036 0.6541
```

Peak list (8 most intense, 10° ≤ 2θ ≤ 90°, low angle first)
31.55 deg, rel. 18.2, (1 1 3); 38.85 deg, rel. 24.9, (3 0 0); 39.66 deg, rel. 12.4, (0 1 5); 45.20 deg, rel. 100.0, (0 0 6); 45.89 deg, rel. 15.9, (2 0 5); 50.88 deg, rel. 10.9, (2 2 3); 65.84 deg, rel. 13.0, (2 2 6); 83.40 deg, rel. 10.6, (6 0 0)